Record 1
Starting from a structure optimized by DFT (PBE), the powder X-ray diffraction pattern of Zr2AsOs was computed for Cu Ka.

Crystal structure
Unit cell a=4.166 b=4.573 c=7.711 alpha=90.00 beta=90.00 gamma=90.00
Space group Immm (No. 71)
One atom of each set of equivalent atoms:
Zr1 0.000 0.000 0.245
As1 0.000 0.500 0.000
Os1 0.000 0.500 0.500

Peak list (8 most intense, 15 to 90 degrees two-theta, by angle)
| d (Å) | 2theta | I/Imax | hkl |
| --- | --- | --- | --- |
| 3.933 | 22.6 | 12 | 0 1 1 |
| 2.406 | 37.4 | 100 | 1 1 2 |
| 2.286 | 39.4 | 22 | 0 2 0 |
| 2.083 | 43.4 | 16 | 2 0 0 |
| 1.928 | 47.1 | 13 | 0 0 4 |
| 1.540 | 60.1 | 12 | 2 2 0 |
| 1.342 | 70.1 | 16 | 1 3 2 |
| 1.256 | 75.7 | 12 | 3 1 2 |

---

Record 2
Starting from a structure optimized by DFT (PBE), the powder X-ray diffraction pattern of AsP3 was computed for Cu Ka.

Crystal structure
Unit cell a=7.9359 b=7.9359 c=4.5404 alpha=90.00 beta=90.00 gamma=120.00
Space group R3 (No. 146, hexagonal axes)
One atom of each set of equivalent atoms:
As1 0.0000 0.0000 0.0000
P1 0.0292 0.5635 0.9158

Peak list (8 most intense, 15 to 90 degrees two-theta, by angle)
| d (Å) | 2theta | I/Imax | hkl |
| --- | --- | --- | --- |
| 3.968 | 22.4 | 40 | 1 1 0 |
| 3.788 | 23.5 | 41 | 1 0 1 |
| 2.740 | 32.7 | 100 | 0 2 1 |
| 2.255 | 40.0 | 19 | 2 1 1 |
| 1.984 | 45.7 | 28 | 2 2 0 |
| 1.894 | 48.0 | 26 | 2 0 2 |
| 1.758 | 52.0 | 17 | 4 -3 1 |
| 1.709 | 53.6 | 19 | 1 2 2 |

---

Record 3
Starting from a structure optimized by DFT (PBE), the powder X-ray diffraction pattern of AsP was computed for Cu Ka.

Crystal structure
Unit cell a=3.6655 b=3.6655 c=10.1558 alpha=90.00 beta=90.00 gamma=120.00
Space group R3m (No. 160, hexagonal axes)
One atom of each set of equivalent atoms:
As1 0.0000 0.0000 0.0000
P1 0.0000 0.0000 0.5465

Peak list (8 most intense, 15 to 90 degrees two-theta, by angle)
| d (Å) | 2theta | I/Imax | hkl |
| --- | --- | --- | --- |
| 3.385 | 26.3 | 22 | 0 0 3 |
| 3.030 | 29.5 | 29 | 1 0 1 |
| 2.692 | 33.3 | 100 | 0 1 2 |
| 1.983 | 45.8 | 32 | 1 0 4 |
| 1.833 | 49.7 | 33 | 1 1 0 |
| 1.711 | 53.6 | 15 | 0 1 5 |
| 1.612 | 57.2 | 15 | 1 1 3 |
| 1.515 | 61.2 | 16 | 2 0 2 |

---

Record 4
Starting from a structure optimized by DFT (PBE), the powder X-ray diffraction pattern of AsP was computed for Cu Ka.

Crystal structure
Unit cell a=5.630 b=5.734 c=10.911 alpha=90.00 beta=90.00 gamma=90.00
Space group P2_12_12_1 (No. 19)
One atom of each set of equivalent atoms:
As1 0.075 0.028 0.496
As2 0.203 0.649 0.728
P1 0.168 0.416 0.435
P2 0.196 0.066 0.706

Peak list (8 most intense, 15 to 90 degrees two-theta, by angle)
| d (Å) | 2theta | I/Imax | hkl |
| --- | --- | --- | --- |
| 3.770 | 23.6 | 100 | 1 1 1 |
| 2.773 | 32.3 | 41 | 0 2 1 |
| 2.727 | 32.8 | 77 | 0 0 4 |
| 2.696 | 33.2 | 34 | 1 1 3 |
| 2.501 | 35.9 | 38 | 2 0 2 |
| 2.455 | 36.6 | 23 | 1 0 4 |
| 1.976 | 45.9 | 38 | 2 2 1 |
| 1.658 | 55.4 | 24 | 1 2 5 |